[1]
For RbIn2F4, a PBE-relaxed structure gives the computed powder X-ray diffraction pattern in this record (Cu Kα).
Neutral-atom scattering factors, no anomalous dispersion.

Cell and atoms:
a b c (Å): 7.2760 7.2760 7.2760
angles (deg): 137.86 137.86 61.12
Sites, in units of the cell vectors:
Rb: 0.0000 0.0000 0.0000
In: 0.3861 0.3861 0.0000
In: 0.6139 0.6139 0.0000
F: 0.0000 0.5000 0.5000
F: 0.2216 0.2216 0.0000
F: 0.5000 0.0000 0.5000
F: 0.7784 0.7784 0.0000

Main lines, sorted by position (10° ≤ 2θ ≤ 90°):
d = 3.699 Å, 2θ 24.06, I 100.0
d = 3.264 Å, 2θ 27.32, I 52.8
d = 2.616 Å, 2θ 34.28, I 62.3
d = 2.260 Å, 2θ 39.89, I 54.8
d = 2.041 Å, 2θ 44.38, I 28.2
d = 1.710 Å, 2θ 53.59, I 44.5

***

[2]
For Rb3In2F8, a PBE-relaxed structure gives the computed powder X-ray diffraction pattern in this record (Cu Kα).
Neutral-atom scattering factors, no anomalous dispersion.

Cell and atoms:
a b c (Å): 8.0756 8.0756 8.0756
angles (deg): 50.65 50.65 50.65
Sites, in units of the cell vectors:
Rb: 0.0000 0.0000 0.0000
Rb: 0.2019 0.2019 0.2019
Rb: 0.7981 0.7981 0.7981
In: 0.4261 0.4261 0.4261
In: 0.5739 0.5739 0.5739
F: 0.2178 0.7374 0.7374
F: 0.2626 0.2626 0.7822
F: 0.2626 0.7822 0.2626
F: 0.3293 0.3293 0.3293
F: 0.6707 0.6707 0.6707
F: 0.7374 0.2178 0.7374
F: 0.7374 0.7374 0.2178
F: 0.7822 0.2626 0.2626

Main lines, sorted by position (10° ≤ 2θ ≤ 90°):
d = 3.451 Å, 2θ 25.82, I 100.0
d = 2.439 Å, 2θ 36.85, I 21.9
d = 1.993 Å, 2θ 45.51, I 30.1
d = 1.938 Å, 2θ 46.89, I 8.0
d = 1.727 Å, 2θ 53.02, I 14.0
d = 1.305 Å, 2θ 72.40, I 10.4

***

[3]
For Rb3InF4, a PBE-relaxed structure gives the computed powder X-ray diffraction pattern in this record (Cu Kα).
Neutral-atom scattering factors, no anomalous dispersion.

Cell and atoms:
a b c (Å): 11.1456 5.8093 5.8150
angles (deg): 90.00 90.00 90.00
Sites, in units of the cell vectors:
Rb: 0.0000 0.2395 0.0000
Rb: 0.2499 0.2510 0.5078
Rb: 0.2501 0.7490 0.0078
Rb: 0.5000 0.7605 0.5000
Rb: 0.7501 0.2510 0.5078
Rb: 0.7499 0.7490 0.0078
In: 0.0000 0.7357 0.4936
In: 0.5000 0.2643 0.9936
F: 0.0000 0.1241 0.5038
F: 0.0000 0.7422 0.8816
F: 0.2484 0.7551 0.5140
F: 0.2516 0.2449 0.0140
F: 0.5000 0.2578 0.3816
F: 0.5000 0.8759 0.0038
F: 0.7484 0.2449 0.0140
F: 0.7516 0.7551 0.5140

Main lines, sorted by position (10° ≤ 2θ ≤ 90°):
d = 3.308 Å, 2θ 26.96, I 100.0
d = 2.906 Å, 2θ 30.77, I 72.2
d = 2.786 Å, 2θ 32.12, I 35.4
d = 2.055 Å, 2θ 44.07, I 23.3
d = 2.011 Å, 2θ 45.08, I 47.9
d = 1.745 Å, 2θ 52.42, I 37.1

***

[4]
For Rb5In2F12, a PBE-relaxed structure gives the computed powder X-ray diffraction pattern in this record (Cu Kα).
Neutral-atom scattering factors, no anomalous dispersion.

Cell and atoms:
a b c (Å): 7.2811 7.9518 8.0638
angles (deg): 98.62 92.83 115.28
Sites, in units of the cell vectors:
Rb: 0.0000 0.0000 0.0000
Rb: 0.2372 0.6795 0.1795
Rb: 0.2552 0.2483 0.5502
Rb: 0.7448 0.7517 0.4498
Rb: 0.7628 0.3205 0.8205
In: 0.3124 0.7832 0.7111
In: 0.6876 0.2168 0.2889
F: 0.0448 0.6980 0.8374
F: 0.1547 0.8412 0.5138
F: 0.3054 0.5605 0.8349
F: 0.3356 0.6104 0.4945
F: 0.3495 0.0606 0.8147
F: 0.3659 0.0887 0.2425
F: 0.6341 0.9113 0.7575
F: 0.6505 0.9394 0.1853
F: 0.6644 0.3896 0.5055
F: 0.6946 0.4395 0.1651
F: 0.8453 0.1588 0.4862
F: 0.9552 0.3020 0.1626

Main lines, sorted by position (10° ≤ 2θ ≤ 90°):
d = 3.590 Å, 2θ 24.80, I 64.4
d = 3.478 Å, 2θ 25.61, I 58.5
d = 3.437 Å, 2θ 25.92, I 100.0
d = 3.329 Å, 2θ 26.78, I 52.5
d = 3.295 Å, 2θ 27.06, I 51.7
d = 3.265 Å, 2θ 27.31, I 52.8

***

[5]
For RbIn3F9, a PBE-relaxed structure gives the computed powder X-ray diffraction pattern in this record (Cu Kα).
Neutral-atom scattering factors, no anomalous dispersion.

Cell and atoms:
a b c (Å): 6.3729 8.4412 8.7470
angles (deg): 90.00 92.30 90.00
Sites, in units of the cell vectors:
Rb: 0.0283 0.2500 0.4519
Rb: 0.9717 0.7500 0.5481
In: 0.0000 0.0000 0.0000
In: 0.0000 0.5000 0.0000
In: 0.4707 0.0018 0.7010
In: 0.4707 0.4982 0.7010
In: 0.5293 0.5018 0.2990
In: 0.5293 0.9982 0.2990
F: 0.0600 0.2500 0.9929
F: 0.1610 0.5364 0.7894
F: 0.1610 0.9636 0.7894
F: 0.2943 0.5272 0.4757
F: 0.2943 0.9728 0.4757
F: 0.2964 0.5349 0.1205
F: 0.2964 0.9651 0.1205
F: 0.3939 0.2500 0.6843
F: 0.4658 0.2500 0.3004
F: 0.5342 0.7500 0.6996
F: 0.6061 0.7500 0.3157
F: 0.7036 0.0349 0.8795
F: 0.7036 0.4651 0.8795
F: 0.7057 0.0272 0.5243
F: 0.7057 0.4728 0.5243
F: 0.8390 0.0364 0.2106
F: 0.8390 0.4636 0.2106
F: 0.9400 0.7500 0.0071

Main lines, sorted by position (10° ≤ 2θ ≤ 90°):
d = 4.221 Å, 2θ 21.05, I 78.2
d = 3.673 Å, 2θ 24.23, I 100.0
d = 3.537 Å, 2θ 25.18, I 64.7
d = 3.239 Å, 2θ 27.54, I 64.0
d = 3.184 Å, 2θ 28.02, I 52.2
d = 2.110 Å, 2θ 42.87, I 55.1

***

[6]
For RbInSiF6, a PBE-relaxed structure gives the computed powder X-ray diffraction pattern in this record (Cu Kα).
Neutral-atom scattering factors, no anomalous dispersion.

Cell and atoms:
a b c (Å): 5.8432 5.8432 5.0659
angles (deg): 90.00 90.00 120.00
Sites, in units of the cell vectors:
Rb: 0.0000 0.0000 0.0000
In: 0.6667 0.3333 0.5584
Si: 0.3333 0.6667 0.3517
F: 0.0530 0.5265 0.1588
F: 0.1932 0.3865 0.5457
F: 0.1932 0.8068 0.5457
F: 0.4735 0.5265 0.1588
F: 0.4735 0.9470 0.1588
F: 0.6135 0.8068 0.5457

Main lines, sorted by position (10° ≤ 2θ ≤ 90°):
d = 3.580 Å, 2θ 24.87, I 100.0
d = 2.922 Å, 2θ 30.60, I 44.0
d = 2.532 Å, 2θ 35.46, I 27.9
d = 2.264 Å, 2θ 39.82, I 82.2
d = 1.914 Å, 2θ 47.52, I 22.4
d = 1.790 Å, 2θ 51.03, I 32.4

***

[7]
For RbTiInF6, a PBE-relaxed structure gives the computed powder X-ray diffraction pattern in this record (Cu Kα).
Neutral-atom scattering factors, no anomalous dispersion.

Cell and atoms:
a b c (Å): 5.0137 5.9601 5.9660
angles (deg): 62.95 87.18 87.18
Sites, in units of the cell vectors:
Rb: 0.0000 0.0000 0.0000
Ti: 0.6847 0.6550 0.6546
In: 0.3918 0.3433 0.3443
F: 0.4159 0.7920 0.7890
F: 0.5022 0.3426 0.7710
F: 0.5027 0.7701 0.3423
F: 0.8624 0.5204 0.9609
F: 0.8629 0.9616 0.5184
F: 0.9537 0.5131 0.5143

Main lines, sorted by position (10° ≤ 2θ ≤ 90°):
d = 3.672 Å, 2θ 24.24, I 54.4
d = 3.588 Å, 2θ 24.81, I 100.0
d = 3.114 Å, 2θ 28.67, I 31.1
d = 2.974 Å, 2θ 30.05, I 52.5
d = 2.375 Å, 2θ 37.89, I 65.2
d = 2.317 Å, 2θ 38.87, I 28.5

***

[8]
For RbUIn2F8, a PBE-relaxed structure gives the computed powder X-ray diffraction pattern in this record (Cu Kα).
Neutral-atom scattering factors, no anomalous dispersion.

Cell and atoms:
a b c (Å): 4.0693 8.6798 6.9682
angles (deg): 90.00 90.21 90.00
Sites, in units of the cell vectors:
Rb: 0.0000 0.0000 0.0000
U: 0.0000 0.5000 0.0000
In: 0.5000 0.2162 0.5000
In: 0.5000 0.7838 0.5000
F: 0.0006 0.3090 0.1884
F: 0.0006 0.6910 0.1884
F: 0.4973 0.0000 0.7072
F: 0.5005 0.5000 0.1686
F: 0.4995 0.5000 0.8314
F: 0.5027 0.0000 0.2928
F: 0.9994 0.3090 0.8116
F: 0.9994 0.6910 0.8116

Main lines, sorted by position (10° ≤ 2θ ≤ 90°):
d = 5.434 Å, 2θ 16.31, I 42.4
d = 3.684 Å, 2θ 24.16, I 100.0
d = 3.514 Å, 2θ 25.35, I 93.2
d = 2.968 Å, 2θ 30.10, I 27.5
d = 2.263 Å, 2θ 39.84, I 33.6
d = 2.257 Å, 2θ 39.95, I 33.3

***

- Number 6 is which compound?
  RbInSiF6